[1]
The following is a calculated powder X-ray diffraction pattern of MgScAuO4. It was derived from a DFT-relaxed cell (PBE, Alexandria), using Cu Kα, 1.54184 Å.

Principal peaks in the range 10 to 90 degrees two-theta, low angle first:
two_theta  intensity  index
17.06  100.0  1 0 1
17.97  33.2  0 0 2
30.86  46.3  1 0 3
33.93  54.5  1 2 1
41.70  25.9  2 2 0
56.53  25.8  2 2 4

Cell and atoms:
```
data_MgScAuO4
_chemical_formula_sum 'Mg4 Sc4 Au4 O16'
_space_group_name_H-M_alt 'I m m a'
_space_group_IT_number 74
_space_group_name_Hall '-I 2b 2'
_cell_length_a 6.1132
_cell_length_b 6.1384
_cell_length_c 9.8718
_cell_angle_alpha 90.00
_cell_angle_beta 90.00
_cell_angle_gamma 90.00
loop_
_atom_site_label
_atom_site_type_symbol
_atom_site_fract_x
_atom_site_fract_y
_atom_site_fract_z
Mg1 Mg 0.0000 0.2500 0.1158
Sc1 Sc 0.2500 0.2500 0.7500
Au1 Au 0.0000 0.0000 0.5000
O1 O 0.0000 0.0247 0.7850
O2 O 0.2238 0.2500 0.5195
```

***

[2]
The following is a calculated powder X-ray diffraction pattern of MgTlAuO4. It was derived from a DFT-relaxed cell (PBE, Alexandria), using Cu Kα, 1.54184 Å.

Principal peaks in the range 10 to 90 degrees two-theta, low angle first:
two_theta  intensity  index
16.32  90.9  0 1 1
16.59  100.0  1 0 1
32.99  65.3  0 2 2
33.54  57.6  2 0 2
40.71  58.9  2 2 0
54.09  58.9  2 2 4

Cell and atoms:
```
data_MgTlAuO4
_chemical_formula_sum 'Mg4 Tl4 Au4 O16'
_space_group_name_H-M_alt 'I m m a'
_space_group_IT_number 74
_space_group_name_Hall '-I 2b 2'
_cell_length_a 6.2009
_cell_length_b 6.3388
_cell_length_c 10.5288
_cell_angle_alpha 90.00
_cell_angle_beta 90.00
_cell_angle_gamma 90.00
loop_
_atom_site_label
_atom_site_type_symbol
_atom_site_fract_x
_atom_site_fract_y
_atom_site_fract_z
Mg1 Mg 0.0000 0.2500 0.1420
Tl1 Tl 0.0000 0.0000 0.5000
Au1 Au 0.2500 0.2500 0.7500
O1 O 0.0000 0.0359 0.7483
O2 O 0.2376 0.2500 0.4590
```

***

[3]
The following is a calculated powder X-ray diffraction pattern of MgZnAu2O6. It was derived from a DFT-relaxed cell (PBE, Alexandria), using Cu Kα, 1.54184 Å.

Principal peaks in the range 10 to 90 degrees two-theta, low angle first:
two_theta  intensity  index
17.48  64.8  2 0 0
25.30  81.6  0 2 1
30.80  100.0  2 2 -1
31.06  97.2  2 2 1
35.39  25.4  4 0 0
35.61  25.6  0 0 2

Cell and atoms:
```
data_MgZnAu2O6
_chemical_formula_sum 'Mg4 Zn4 Au8 O24'
_space_group_name_H-M_alt 'C 1 2/c 1'
_space_group_IT_number 15
_space_group_name_Hall '-C 2yc'
_cell_length_a 10.1474
_cell_length_b 9.8230
_cell_length_c 5.0423
_cell_angle_alpha 90.00
_cell_angle_beta 90.70
_cell_angle_gamma 90.00
loop_
_atom_site_label
_atom_site_type_symbol
_atom_site_fract_x
_atom_site_fract_y
_atom_site_fract_z
Mg1 Mg 0.0000 0.1054 0.2500
Zn1 Zn 0.0000 0.3949 0.7500
Au1 Au 0.2492 0.1465 0.7284
O1 O 0.1071 0.0589 0.9215
O2 O 0.1098 0.4430 0.0684
O3 O 0.1133 0.2500 0.4959
```

***

[4]
The following is a calculated powder X-ray diffraction pattern of MgPa2Au6. It was derived from a DFT-relaxed cell (PBE, Alexandria), using Cu Kα, 1.54184 Å.

Principal peaks in the range 10 to 90 degrees two-theta, low angle first:
two_theta  intensity  index
36.23  90.6  3 1 1
37.47  100.0  6 0 0
53.11  30.8  6 2 1
66.80  31.3  9 1 1
67.61  18.2  9 3 0
72.83  29.6  6 0 2

Cell and atoms:
```
data_MgPa2Au6
_chemical_formula_sum 'Mg2 Pa4 Au12'
_space_group_name_H-M_alt 'C 1 2/m 1'
_space_group_IT_number 12
_space_group_name_Hall '-C 2y'
_cell_length_a 14.4014
_cell_length_b 8.3138
_cell_length_c 3.0886
_cell_angle_alpha 90.00
_cell_angle_beta 90.07
_cell_angle_gamma 90.00
loop_
_atom_site_label
_atom_site_type_symbol
_atom_site_fract_x
_atom_site_fract_y
_atom_site_fract_z
Mg1 Mg 0.0000 0.0000 0.0000
Pa1 Pa 0.1667 0.5000 0.0000
Au1 Au 0.0000 0.3300 0.5000
Au2 Au 0.1650 0.1650 0.4990
```

***

[5]
The following is a calculated powder X-ray diffraction pattern of MgPbAu2. It was derived from a DFT-relaxed cell (PBE, Alexandria), using Cu Kα, 1.54184 Å.

Principal peaks in the range 10 to 90 degrees two-theta, low angle first:
two_theta  intensity  index
33.25  72.2  1 1 0
33.42  75.4  1 1 -1
37.53  100.0  0 1 2
40.04  58.3  1 1 1
40.48  52.5  1 1 -2
41.33  51.2  0 2 0

Cell and atoms:
```
data_MgPbAu2
_chemical_formula_sum 'Mg1 Pb1 Au2'
_space_group_name_H-M_alt 'P 1 m 1'
_space_group_IT_number 6
_space_group_name_Hall 'P -2y'
_cell_length_a 3.5714
_cell_length_b 4.3693
_cell_length_c 5.9800
_cell_angle_alpha 90.00
_cell_angle_beta 106.55
_cell_angle_gamma 90.00
loop_
_atom_site_label
_atom_site_type_symbol
_atom_site_fract_x
_atom_site_fract_y
_atom_site_fract_z
Mg1 Mg 0.0000 0.0000 0.0000
Pb1 Pb 0.7135 0.5000 0.4099
Au1 Au 0.2963 0.0000 0.5866
Au2 Au 0.4555 0.5000 0.9103
```

***

[6]
The following is a calculated powder X-ray diffraction pattern of MgPb2Au. It was derived from a DFT-relaxed cell (PBE, Alexandria), using Cu Kα, 1.54184 Å.

Principal peaks in the range 10 to 90 degrees two-theta, low angle first:
two_theta  intensity  index
21.01  81.7  0 1 1
32.15  80.2  1 0 3
35.08  100.0  1 1 2
38.64  43.2  0 1 5
52.68  41.2  1 2 3
64.07  28.2  1 1 8

Cell and atoms:
```
data_MgPb2Au
_chemical_formula_sum 'Mg2 Pb4 Au2'
_space_group_name_H-M_alt 'I m m m'
_space_group_IT_number 71
_space_group_name_Hall '-I 2 2'
_cell_length_a 3.5162
_cell_length_b 4.4472
_cell_length_c 13.6798
_cell_angle_alpha 90.00
_cell_angle_beta 90.00
_cell_angle_gamma 90.00
loop_
_atom_site_label
_atom_site_type_symbol
_atom_site_fract_x
_atom_site_fract_y
_atom_site_fract_z
Mg1 Mg 0.0000 0.0000 0.0000
Pb1 Pb 0.0000 0.5000 0.1831
Au1 Au 0.0000 0.0000 0.5000
```

***

[7]
The following is a calculated powder X-ray diffraction pattern of Mg5Pd12Au2. It was derived from a DFT-relaxed cell (PBE, Alexandria), using Cu Kα, 1.54184 Å.

Principal peaks in the range 10 to 90 degrees two-theta, low angle first:
two_theta  intensity  index
22.10  45.7  2 0 -2
23.86  42.8  4 0 -1
37.36  41.2  4 0 2
37.70  30.9  2 2 1
39.75  100.0  2 2 -2
44.48  47.3  4 2 1

Cell and atoms:
```
data_Mg5Pd12Au2
_chemical_formula_sum 'Mg10 Pd24 Au4'
_space_group_name_H-M_alt 'C 1 2/m 1'
_space_group_IT_number 12
_space_group_name_Hall '-C 2y'
_cell_length_a 15.1884
_cell_length_b 5.4904
_cell_length_c 8.3784
_cell_angle_alpha 90.00
_cell_angle_beta 105.59
_cell_angle_gamma 90.00
loop_
_atom_site_label
_atom_site_type_symbol
_atom_site_fract_x
_atom_site_fract_y
_atom_site_fract_z
Mg1 Mg 0.0000 0.0000 0.0000
Mg2 Mg 0.1297 0.5000 0.3728
Mg3 Mg 0.2071 0.5000 0.8967
Pd1 Pd 0.0260 0.5000 0.8447
Pd2 Pd 0.1071 0.0000 0.8022
Pd3 Pd 0.1443 0.2522 0.1118
Pd4 Pd 0.2052 0.2422 0.6239
Au1 Au 0.0000 0.2481 0.5000
```

***

[8]
The following is a calculated powder X-ray diffraction pattern of Mg2Pd5Au4. It was derived from a DFT-relaxed cell (PBE, Alexandria), using Cu Kα, 1.54184 Å.

Principal peaks in the range 10 to 90 degrees two-theta, low angle first:
two_theta  intensity  index
23.70  100.0  0 2 0
24.26  92.3  0 1 -2
34.48  68.4  1 0 -1
34.63  71.4  1 1 2
38.30  74.7  0 3 2
43.09  68.6  0 2 4

Cell and atoms:
```
data_Mg2Pd5Au4
_chemical_formula_sum 'Mg2 Pd5 Au4'
_space_group_name_H-M_alt 'P -1'
_space_group_IT_number 2
_space_group_name_Hall '-P 1'
_cell_length_a 2.8817
_cell_length_b 7.7253
_cell_length_c 9.3624
_cell_angle_alpha 79.98
_cell_angle_beta 81.42
_cell_angle_gamma 79.43
loop_
_atom_site_label
_atom_site_type_symbol
_atom_site_fract_x
_atom_site_fract_y
_atom_site_fract_z
Mg1 Mg 0.1283 0.4119 0.3326
Pd1 Pd 0.2636 0.8795 0.5997
Pd2 Pd 0.3956 0.3569 0.8528
Pd3 Pd 0.5000 0.0000 0.0000
Au1 Au 0.0627 0.2389 0.6302
Au2 Au 0.1881 0.7310 0.8882
```

***

[9]
The following is a calculated powder X-ray diffraction pattern of Mg2Pd9Au. It was derived from a DFT-relaxed cell (PBE, Alexandria), using Cu Kα, 1.54184 Å.

Principal peaks in the range 10 to 90 degrees two-theta, low angle first:
two_theta  intensity  index
39.22  100.0  1 1 3
45.60  48.5  2 0 0
66.46  30.8  2 2 0
79.90  12.0  1 1 9
80.01  24.3  3 1 3
84.32  10.7  2 2 6

Cell and atoms:
```
data_Mg2Pd9Au
_chemical_formula_sum 'Mg2 Pd9 Au1'
_space_group_name_H-M_alt 'P 4/m m m'
_space_group_IT_number 123
_space_group_name_Hall '-P 4 2'
_cell_length_a 3.9766
_cell_length_b 3.9766
_cell_length_c 11.9489
_cell_angle_alpha 90.00
_cell_angle_beta 90.00
_cell_angle_gamma 90.00
loop_
_atom_site_label
_atom_site_type_symbol
_atom_site_fract_x
_atom_site_fract_y
_atom_site_fract_z
Mg1 Mg 0.0000 0.0000 0.1644
Pd1 Pd 0.0000 0.5000 0.0000
Pd2 Pd 0.0000 0.5000 0.3300
Pd3 Pd 0.5000 0.5000 0.1646
Pd4 Pd 0.5000 0.5000 0.5000
Au1 Au 0.0000 0.0000 0.5000
```

***

[10]
The following is a calculated powder X-ray diffraction pattern of Mg4Pd9Au2. It was derived from a DFT-relaxed cell (PBE, Alexandria), using Cu Kα, 1.54184 Å.

Principal peaks in the range 10 to 90 degrees two-theta, low angle first:
two_theta  intensity  index
23.84  53.3  0 1 1
39.54  100.0  0 1 5
40.36  95.5  1 1 0
57.77  32.5  2 0 5
72.83  32.3  1 2 5
73.38  16.0  3 0 0

Cell and atoms:
```
data_Mg4Pd9Au2
_chemical_formula_sum 'Mg4 Pd9 Au2'
_space_group_name_H-M_alt 'P -3 m 1'
_space_group_IT_number 164
_space_group_name_Hall '-P 3 2"'
_cell_length_a 4.4698
_cell_length_b 4.4698
_cell_length_c 14.1014
_cell_angle_alpha 90.00
_cell_angle_beta 90.00
_cell_angle_gamma 120.00
loop_
_atom_site_label
_atom_site_type_symbol
_atom_site_fract_x
_atom_site_fract_y
_atom_site_fract_z
Mg1 Mg 0.3333 0.6667 0.1569
Mg2 Mg 0.3333 0.6667 0.3813
Pd1 Pd 0.0000 0.0000 0.1006
Pd2 Pd 0.0000 0.0000 0.3054
Pd3 Pd 0.0000 0.0000 0.5000
Pd4 Pd 0.3333 0.6667 0.5736
Pd5 Pd 0.3333 0.6667 0.9687
Au1 Au 0.3333 0.6667 0.7723
```

***

[11]
The following is a calculated powder X-ray diffraction pattern of MgPd3Au4. It was derived from a DFT-relaxed cell (PBE, Alexandria), using Cu Kα, 1.54184 Å.

Principal peaks in the range 10 to 90 degrees two-theta, low angle first:
two_theta  intensity  index
37.11  100.0  3 1 -1
38.77  53.2  2 0 2
39.25  61.8  4 0 -4
41.08  53.7  6 0 -2
42.94  33.0  3 1 -3
45.77  47.6  1 1 -3

Cell and atoms:
```
data_MgPd3Au4
_chemical_formula_sum 'Mg2 Pd6 Au8'
_space_group_name_H-M_alt 'C 1 2/m 1'
_space_group_IT_number 12
_space_group_name_Hall '-C 2y'
_cell_length_a 13.4268
_cell_length_b 2.9036
_cell_length_c 9.2007
_cell_angle_alpha 90.00
_cell_angle_beta 129.43
_cell_angle_gamma 90.00
loop_
_atom_site_label
_atom_site_type_symbol
_atom_site_fract_x
_atom_site_fract_y
_atom_site_fract_z
Mg1 Mg 0.0000 0.0000 0.0000
Pd1 Pd 0.0000 0.0000 0.5000
Pd2 Pd 0.1352 0.0000 0.3745
Au1 Au 0.1046 0.5000 0.8380
Au2 Au 0.2344 0.5000 0.2284
```

***

[12]
The following is a calculated powder X-ray diffraction pattern of Mg2Pd7Au. It was derived from a DFT-relaxed cell (PBE, Alexandria), using Cu Kα, 1.54184 Å.

Principal peaks in the range 10 to 90 degrees two-theta, low angle first:
two_theta  intensity  index
11.44  100.0  0 2 0
11.87  78.8  1 1 0
31.25  76.0  2 4 0
38.69  60.1  2 0 1
40.92  93.9  2 6 0
45.12  54.9  1 5 1

Cell and atoms:
```
data_Mg2Pd7Au
_chemical_formula_sum 'Mg4 Pd14 Au2'
_space_group_name_H-M_alt 'C m m m'
_space_group_IT_number 65
_space_group_name_Hall '-C 2 2'
_cell_length_a 8.5124
_cell_length_b 15.4693
_cell_length_c 2.7797
_cell_angle_alpha 90.00
_cell_angle_beta 90.00
_cell_angle_gamma 90.00
loop_
_atom_site_label
_atom_site_type_symbol
_atom_site_fract_x
_atom_site_fract_y
_atom_site_fract_z
Mg1 Mg 0.0000 0.1765 0.0000
Pd1 Pd 0.0000 0.0000 0.0000
Pd2 Pd 0.0000 0.3182 0.5000
Pd3 Pd 0.2334 0.4048 0.0000
Au1 Au 0.0000 0.5000 0.5000
```

***

[13]
The following is a calculated powder X-ray diffraction pattern of Mg8Pd2Au. It was derived from a DFT-relaxed cell (PBE, Alexandria), using Cu Kα, 1.54184 Å.

Principal peaks in the range 10 to 90 degrees two-theta, low angle first:
two_theta  intensity  index
23.24  71.7  1 1 0
23.98  28.5  0 2 0
24.21  59.2  0 1 3
29.07  25.4  1 0 3
36.79  30.9  1 1 4
38.02  100.0  1 2 3

Cell and atoms:
```
data_Mg8Pd2Au
_chemical_formula_sum 'Mg16 Pd4 Au2'
_space_group_name_H-M_alt 'I m m m'
_space_group_IT_number 71
_space_group_name_Hall '-I 2 2'
_cell_length_a 4.4679
_cell_length_b 7.4234
_cell_length_c 12.6940
_cell_angle_alpha 90.00
_cell_angle_beta 90.00
_cell_angle_gamma 90.00
loop_
_atom_site_label
_atom_site_type_symbol
_atom_site_fract_x
_atom_site_fract_y
_atom_site_fract_z
Mg1 Mg 0.0000 0.0000 0.1458
Mg2 Mg 0.0000 0.2165 0.3411
Mg3 Mg 0.0000 0.3107 0.0000
Pd1 Pd 0.0000 0.5000 0.1922
Au1 Au 0.0000 0.5000 0.5000
```